Entry 1:
Diffraction record for PaMn9Cr2. The powder X-ray diffraction pattern is simulated, not measured: it uses a structure optimized by DFT (PBE) and Cu Kα X-rays.
Lines closer than 0.1° are merged.

Cell: 8.182 8.182 4.556 Å, 90.00 90.00 90.00°
Space group P4/mbm (No. 127)
One atom of each set of equivalent atoms:
Pa 0.000 0.000 0.000 x2
Mn 0.000 0.500 0.500 x2
Mn 0.066 0.216 0.500 x8
Mn 0.176 0.676 0.228 x8
Cr 0.117 0.383 0.000 x4

Largest 12 diffraction maxima, sorted by position, 10° ≤ 2θ ≤ 90°:
h k l, 2theta, I_rel
1 1 0, 15.32, 17
1 1 1, 24.87, 32
2 0 1, 29.34, 25
2 2 0, 30.91, 16
3 1 0, 34.67, 33
2 2 1, 36.80, 41
3 1 1, 40.08, 100
3 2 1, 44.61, 18
2 0 2, 45.58, 34
4 1 0, 45.72, 25
2 1 2, 46.98, 32
4 2 0, 49.84, 23



Entry 2:
Diffraction record for Mn2CrPb. The powder X-ray diffraction pattern is simulated, not measured: it uses a structure optimized by DFT (PBE) and Cu Kα X-rays.
Lines closer than 0.1° are merged.

Cell: 3.168 3.168 6.933 Å, 90.00 90.00 90.00°
Space group P4mm (No. 99)
One atom of each set of equivalent atoms:
Mn 0.000 0.000 0.000 x1
Mn 0.500 0.500 0.206 x1
Cr 0.500 0.500 0.810 x1
Pb 0.000 0.000 0.500 x1

Largest 12 diffraction maxima, sorted by position, 10° ≤ 2θ ≤ 90°:
h k l, 2theta, I_rel
0 0 1, 12.77, 32
0 0 2, 25.70, 17
1 0 0, 28.17, 21
1 0 1, 31.04, 49
1 0 2, 38.50, 100
1 1 0, 40.26, 50
1 1 2, 48.38, 14
1 1 3, 57.28, 15
2 0 0, 58.25, 16
1 0 4, 60.93, 12
1 1 4, 68.45, 13
2 1 2, 72.01, 30



Entry 3:
Diffraction record for MnCrPd14. The powder X-ray diffraction pattern is simulated, not measured: it uses a structure optimized by DFT (PBE) and Cu Kα X-rays.
Lines closer than 0.1° are merged.

Cell: 5.568 5.568 7.842 Å, 90.00 90.00 90.00°
Space group P4/mmm (No. 123)
One atom of each set of equivalent atoms:
Mn 0.000 0.000 0.000 x1
Cr 0.500 0.500 0.000 x1
Pd 0.000 0.000 0.500 x1
Pd 0.000 0.500 0.000 x2
Pd 0.000 0.500 0.500 x2
Pd 0.251 0.251 0.244 x8
Pd 0.500 0.500 0.500 x1

Largest 12 diffraction maxima, sorted by position, 10° ≤ 2θ ≤ 90°:
h k l, 2theta, I_rel
1 1 0, 22.61, 1
1 1 1, 25.31, 1
2 0 0, 32.20, 1
2 0 1, 34.17, 1
2 0 2, 39.71, 100
2 2 0, 46.11, 32
0 0 4, 46.31, 16
4 0 0, 67.25, 10
2 2 4, 67.42, 20
4 2 2, 81.03, 24
2 0 6, 81.33, 12
4 0 4, 85.56, 10



Entry 4:
Diffraction record for RbMnCr2. The powder X-ray diffraction pattern is simulated, not measured: it uses a structure optimized by DFT (PBE) and Cu Kα X-rays.
Lines closer than 0.1° are merged.

Cell: 5.834 5.834 15.591 Å, 90.00 90.00 90.00°
Space group I4_1/amd (No. 141, origin choice 2)
One atom of each set of equivalent atoms:
Rb 0.000 0.250 0.375 x4
Mn 0.000 0.250 0.875 x4
Cr 0.000 0.000 0.000 x8

Largest 12 diffraction maxima, sorted by position, 10° ≤ 2θ ≤ 90°:
h k l, 2theta, I_rel
1 0 1, 16.22, 16
1 0 3, 22.92, 33
1 1 2, 24.41, 100
2 0 0, 30.65, 28
2 0 2, 32.78, 27
2 1 1, 34.87, 22
2 0 4, 38.56, 32
1 1 6, 41.05, 24
2 2 4, 50.04, 44
3 1 2, 50.86, 25
3 1 6, 61.66, 14
4 0 0, 63.82, 15



Entry 5:
Diffraction record for Mn2Cr4Re3. The powder X-ray diffraction pattern is simulated, not measured: it uses a structure optimized by DFT (PBE) and Cu Kα X-rays.
Lines closer than 0.1° are merged.

Cell: 4.1769 4.1769 7.6263 Å, 90.00 90.00 120.00°
Space group P-3m1 (No. 164)
One atom of each set of equivalent atoms:
Mn 0.3333 0.6667 0.0620 x2
Cr 0.0000 0.0000 0.1584 x2
Cr 0.3333 0.6667 0.3896 x2
Re 0.0000 0.0000 0.5000 x1
Re 0.3333 0.6667 0.7322 x2

Largest 12 diffraction maxima, sorted by position, 10° ≤ 2θ ≤ 90°:
h k l, 2theta, I_rel
0 0 1, 11.60, 21
0 1 1, 27.29, 54
0 1 2, 34.17, 38
1 1 0, 43.32, 100
1 0 3, 43.51, 97
2 0 1, 51.96, 10
2 0 2, 56.30, 10
0 2 3, 63.08, 31
1 1 4, 66.39, 10
3 0 0, 79.49, 16
2 1 3, 79.62, 32
0 1 6, 80.01, 15



Entry 6:
Diffraction record for Mn2CrRe. The powder X-ray diffraction pattern is simulated, not measured: it uses a structure optimized by DFT (PBE) and Cu Kα X-rays.
Lines closer than 0.1° are merged.

Cell: 2.6291 2.6291 24.7776 Å, 90.00 90.00 120.00°
Space group R-3m (No. 166, hexagonal axes)
One atom of each set of equivalent atoms:
Mn 0.0000 0.0000 0.2454 x6
Cr 0.0000 0.0000 0.5000 x3
Re 0.0000 0.0000 0.0000 x3

Largest 12 diffraction maxima, sorted by position, 10° ≤ 2θ ≤ 90°:
h k l, 2theta, I_rel
0 0 3, 10.71, 100
0 0 6, 21.52, 25
0 0 9, 32.52, 14
1 0 1, 39.75, 18
0 1 2, 40.27, 15
1 0 4, 42.29, 100
0 0 12, 43.81, 45
0 1 8, 49.70, 61
1 1 0, 71.81, 20
1 0 16, 74.03, 17
0 2 4, 87.02, 12
1 1 12, 88.08, 25



Entry 7:
Diffraction record for MnCr4Rh15. The powder X-ray diffraction pattern is simulated, not measured: it uses a structure optimized by DFT (PBE) and Cu Kα X-rays.
Lines closer than 0.1° are merged.

Cell: 3.806 3.806 19.006 Å, 90.00 90.00 90.00°
Space group P4/mmm (No. 123)
One atom of each set of equivalent atoms:
Mn 0.000 0.000 0.000 x1
Cr 0.000 0.000 0.200 x2
Cr 0.000 0.000 0.401 x2
Rh 0.000 0.500 0.103 x4
Rh 0.000 0.500 0.300 x4
Rh 0.000 0.500 0.500 x2
Rh 0.500 0.500 0.000 x1
Rh 0.500 0.500 0.201 x2
Rh 0.500 0.500 0.400 x2

Largest 11 diffraction maxima, sorted by position, 10° ≤ 2θ ≤ 90°:
h k l, 2theta, I_rel
1 0 0, 23.38, 6
1 1 0, 33.31, 5
1 1 5, 41.09, 100
2 0 0, 47.82, 48
2 1 0, 53.89, 3
2 1 5, 59.52, 2
2 2 0, 69.94, 29
3 0 0, 74.87, 1
3 1 0, 79.67, 1
3 1 5, 84.45, 35
2 2 10, 89.17, 10



Entry 8:
Diffraction record for MnCrRh. The powder X-ray diffraction pattern is simulated, not measured: it uses a structure optimized by DFT (PBE) and Cu Kα X-rays.
Lines closer than 0.1° are merged.

Cell: 2.766 3.483 8.268 Å, 90.00 90.00 90.00°
Space group Imm2 (No. 44)
One atom of each set of equivalent atoms:
Mn 0.000 0.000 0.000 x2
Cr 0.000 0.000 0.344 x2
Rh 0.000 0.000 0.674 x2

Largest 12 diffraction maxima, sorted by position, 10° ≤ 2θ ≤ 90°:
h k l, 2theta, I_rel
0 0 2, 21.50, 6
0 1 1, 27.79, 9
1 0 1, 34.19, 6
1 1 0, 41.75, 100
1 0 3, 46.52, 36
0 2 0, 52.55, 12
1 1 4, 62.08, 3
2 0 0, 67.76, 5
0 0 6, 68.03, 5
1 2 3, 72.77, 17
2 1 3, 82.88, 12
1 1 6, 83.07, 12



Entry 9:
Diffraction record for MnCrTcRhW. The powder X-ray diffraction pattern is simulated, not measured: it uses a structure optimized by DFT (PBE) and Cu Kα X-rays.
Lines closer than 0.1° are merged.

Cell: 13.201 3.940 2.697 Å, 90.00 93.94 90.00°
Space group Cm (No. 8)
One atom of each set of equivalent atoms:
Mn 0.000 0.000 0.000 x2
Cr 0.185 0.000 0.319 x2
Tc 0.100 0.500 0.597 x2
Rh 0.395 0.000 0.484 x2
W 0.295 0.500 0.966 x2

Largest 12 diffraction maxima, sorted by position, 10° ≤ 2θ ≤ 90°:
h k l, 2theta, I_rel
2 0 0, 13.45, 30
1 1 0, 23.57, 27
3 1 0, 30.49, 13
1 1 -1, 40.80, 85
5 1 0, 41.23, 100
1 1 1, 41.60, 17
4 0 1, 44.95, 34
0 2 0, 46.07, 37
6 0 -1, 51.92, 19
4 2 1, 66.33, 21
6 2 -1, 71.91, 14
5 3 0, 81.98, 13



Entry 10:
Diffraction record for MnCrTcRhW. The powder X-ray diffraction pattern is simulated, not measured: it uses a structure optimized by DFT (PBE) and Cu Kα X-rays.
Lines closer than 0.1° are merged.

Cell: 2.896 2.896 16.891 Å, 90.00 90.00 90.00°
Space group I4mm (No. 107)
One atom of each set of equivalent atoms:
Mn 0.000 0.000 0.000 x2
Cr 0.000 0.000 0.185 x2
Tc 0.000 0.000 0.603 x2
Rh 0.000 0.000 0.399 x2
W 0.000 0.000 0.791 x2

Largest 12 diffraction maxima, sorted by position, 10° ≤ 2θ ≤ 90°:
h k l, 2theta, I_rel
0 0 2, 10.47, 23
0 0 4, 21.04, 5
1 0 1, 31.34, 15
0 0 6, 31.79, 6
1 0 3, 34.84, 11
1 0 5, 41.06, 100
1 1 0, 44.24, 42
0 0 10, 54.31, 10
2 0 0, 64.35, 13
1 1 10, 72.55, 16
2 1 5, 79.22, 28
2 0 10, 89.07, 10



Entry 11:
Diffraction record for MnCrRu2. The powder X-ray diffraction pattern is simulated, not measured: it uses a structure optimized by DFT (PBE) and Cu Kα X-rays.
Lines closer than 0.1° are merged.

Cell: 3.980 2.660 9.564 Å, 90.00 90.00 90.00°
Space group Amm2 (No. 38)
One atom of each set of equivalent atoms:
Mn 0.000 0.000 0.000 x2
Cr 0.500 0.000 0.881 x2
Ru 0.000 0.000 0.267 x2
Ru 0.500 0.000 0.613 x2

Largest 12 diffraction maxima, sorted by position, 10° ≤ 2θ ≤ 90°:
h k l, 2theta, I_rel
1 0 2, 29.19, 25
1 1 1, 41.92, 100
1 0 4, 44.19, 78
0 1 3, 44.35, 55
2 0 0, 45.58, 39
2 1 3, 65.48, 33
0 2 0, 70.84, 10
3 1 1, 81.74, 13
1 1 7, 83.09, 17
3 0 4, 83.30, 11
1 2 4, 87.40, 20
2 2 0, 88.39, 11



Entry 12:
Diffraction record for Mn4CrS6. The powder X-ray diffraction pattern is simulated, not measured: it uses a structure optimized by DFT (PBE) and Cu Kα X-rays.
Lines closer than 0.1° are merged.

Cell: 11.234 6.491 11.958 Å, 90.00 112.49 90.00°
Space group Cc (No. 9)
One atom of each set of equivalent atoms:
Mn 0.000 0.095 0.000 x4
Mn 0.033 0.362 0.362 x4
Mn 0.128 0.138 0.773 x4
Mn 0.270 0.381 0.148 x4
Cr 0.209 0.190 0.583 x4
S 0.008 0.263 0.548 x4
S 0.099 0.222 0.208 x4
S 0.212 0.114 0.997 x4
S 0.275 0.421 0.481 x4
S 0.315 0.306 0.770 x4
S 0.448 0.214 0.313 x4

Largest 12 diffraction maxima, sorted by position, 10° ≤ 2θ ≤ 90°:
h k l, 2theta, I_rel
1 1 0, 16.10, 70
2 0 0, 17.09, 61
2 0 -2, 18.44, 71
0 2 0, 27.50, 57
3 1 -2, 28.22, 53
0 2 1, 28.67, 97
4 0 -2, 32.00, 85
1 1 -4, 33.22, 100
2 2 1, 35.17, 85
1 1 5, 47.32, 70
1 3 -3, 47.84, 56
5 1 1, 49.71, 54